Theoretical X-ray powder pattern of PuBi2Pd8 for Cu Kα, 1.54184 Å, from the GGA-PBE geometry in Alexandria.
Peak positions follow from Bragg's law for the DFT cell and can differ from measured ones.

```
PuBi2Pd8
1.0
7.689 -2.058 0.000
7.689 2.058 0.000
-1.378 0.000 6.374
Pu Bi Pd
1 2 8
Cartesian
0.000 0.000 0.000 Pu
4.181 0.000 4.980 Bi
9.820 0.000 1.393 Bi
0.732 0.000 2.938 Pd
1.405 0.000 5.798 Pd
3.847 0.000 2.249 Pd
6.678 0.000 1.780 Pd
7.323 0.000 4.594 Pd
10.153 0.000 4.125 Pd
12.596 0.000 0.576 Pd
13.269 0.000 3.436 Pd
```

Principal peaks in the range 10° ≤ 2θ ≤ 80°, most intense first:
- d 2.420, intensity 100
- d 2.409, intensity 99
- d 2.058, intensity 34
- d 2.044, intensity 32
- d 2.180, intensity 29
- d 1.496, intensity 26
- d 1.450, intensity 21
- d 3.182, intensity 19
- d 3.288, intensity 13
- d 1.247, intensity 13


Theoretical X-ray powder pattern of SbP4O12 for Cu Kα, 1.54184 Å, from the GGA-PBE geometry in Alexandria.
Peak positions follow from Bragg's law for the DFT cell and can differ from measured ones.

```
SbP4O12
1.0
8.933 -6.453 0.000
8.933 6.453 0.000
-1.539 0.000 5.321
Sb P O
2 8 24
Cartesian
4.466 3.227 0.000 Sb
4.466 -3.227 0.000 Sb
6.143 3.559 4.574 P
4.635 1.499 2.988 P
10.184 3.559 0.747 P
4.635 -1.499 2.988 P
11.692 1.499 2.334 P
6.143 -3.559 4.574 P
11.692 -1.499 2.334 P
10.184 -3.559 0.747 P
6.406 4.801 3.860 O
6.533 3.437 0.296 O
3.365 1.794 3.780 O
4.467 1.654 1.485 O
5.874 2.303 3.506 O
9.921 4.801 1.461 O
8.933 2.859 0.000 O
5.118 0.000 3.292 O
9.793 3.437 5.025 O
3.365 -1.794 3.780 O
4.467 -1.654 1.485 O
10.452 2.303 1.816 O
5.874 -2.303 3.506 O
11.859 1.654 3.836 O
12.962 1.794 1.541 O
6.533 -3.437 0.296 O
11.208 0.000 2.029 O
8.933 -2.859 0.000 O
6.406 -4.801 3.860 O
10.452 -2.303 1.816 O
11.859 -1.654 3.836 O
12.962 -1.794 1.541 O
9.793 -3.437 5.025 O
9.921 -4.801 1.461 O
```

Principal peaks in the range 10° ≤ 2θ ≤ 80°, most intense first:
- d 6.453, intensity 100
- d 8.581, intensity 95
- d 4.105, intensity 54
- d 2.759, intensity 28
- d 5.225, intensity 21
- d 2.613, intensity 19
- d 3.346, intensity 16
- d 3.913, intensity 14
- d 4.050, intensity 14
- d 3.429, intensity 13


Theoretical X-ray powder pattern of Tl5In2S6 for Cu Kα, 1.54184 Å, from the GGA-PBE geometry in Alexandria.
Peak positions follow from Bragg's law for the DFT cell and can differ from measured ones.

```
Tl5In2S6
1.0
6.676 -3.876 0.000
6.676 3.876 0.000
-2.399 0.000 15.808
Tl In S
10 4 12
Cartesian
4.877 3.299 11.856 Tl
5.283 2.064 6.963 Tl
6.870 2.064 0.941 Tl
2.948 0.425 11.052 Tl
4.147 -0.425 3.148 Tl
6.806 0.425 12.661 Tl
8.006 -0.425 4.757 Tl
4.084 -2.064 14.868 Tl
5.671 -2.064 8.845 Tl
6.077 -3.299 3.952 Tl
1.606 1.387 14.360 In
2.805 -1.387 6.456 In
8.149 1.387 9.353 In
9.348 -1.387 1.449 In
3.904 2.426 3.591 S
2.768 0.179 0.370 S
1.569 -0.179 8.274 S
4.001 0.872 14.027 S
8.249 2.426 4.313 S
5.753 0.872 9.685 S
5.201 -0.872 6.123 S
2.705 -2.426 11.495 S
6.952 -0.872 1.781 S
9.385 0.179 7.534 S
8.185 -0.179 15.439 S
7.050 -2.426 12.218 S
```

Principal peaks in the range 10° ≤ 2θ ≤ 80°, most intense first:
- d 3.639, intensity 100
- d 3.828, intensity 76
- d 3.480, intensity 71
- d 3.166, intensity 58
- d 2.515, intensity 51
- d 3.306, intensity 50
- d 3.281, intensity 49
- d 4.300, intensity 48
- d 3.294, intensity 48
- d 3.613, intensity 45


Theoretical X-ray powder pattern of ThMgGe2Rh5 for Cu Kα, 1.54184 Å, from the GGA-PBE geometry in Alexandria.
Peak positions follow from Bragg's law for the DFT cell and can differ from measured ones.

```
ThMgGe2Rh5
1.0
4.192 0.000 0.000
0.000 4.192 0.000
0.000 0.000 8.966
Th Mg Ge Rh
1 1 2 5
Cartesian
0.000 0.000 0.000 Th
0.000 0.000 4.483 Mg
2.096 2.096 3.267 Ge
2.096 2.096 5.699 Ge
0.000 2.096 2.088 Rh
0.000 2.096 6.878 Rh
2.096 0.000 2.088 Rh
2.096 0.000 6.878 Rh
2.096 2.096 0.000 Rh
```

Principal peaks in the range 10° ≤ 2θ ≤ 80°, most intense first:
- d 2.472, intensity 100
- d 2.096, intensity 47
- d 2.104, intensity 36
- d 1.271, intensity 24
- d 3.797, intensity 19
- d 1.482, intensity 15
- d 1.334, intensity 15
- d 1.531, intensity 14
- d 1.212, intensity 12
- d 2.241, intensity 12


Theoretical X-ray powder pattern of In3SnPb2Se8 for Cu Kα, 1.54184 Å, from the GGA-PBE geometry in Alexandria.
Peak positions follow from Bragg's law for the DFT cell and can differ from measured ones.

```
In3SnPb2Se8
1.0
4.125 2.382 7.414
-4.125 2.382 7.414
0.000 -4.763 7.414
In Sn Pb Se
3 1 2 8
Cartesian
0.000 -2.357 7.414 In
-2.041 1.179 7.414 In
2.041 1.179 7.414 In
0.000 0.000 17.483 Sn
0.000 0.000 3.816 Pb
0.000 0.000 12.003 Pb
-2.162 -1.248 16.451 Se
0.000 0.000 8.863 Se
0.000 -2.540 13.264 Se
-2.200 1.270 13.264 Se
2.162 -1.248 16.451 Se
0.000 2.496 16.451 Se
0.000 0.000 20.813 Se
2.200 1.270 13.264 Se
```

Principal peaks in the range 10° ≤ 2θ ≤ 80°, most intense first:
- d 3.605, intensity 100
- d 2.062, intensity 88
- d 2.194, intensity 86
- d 3.005, intensity 78
- d 3.776, intensity 61
- d 2.308, intensity 48
- d 4.125, intensity 43
- d 2.267, intensity 31
- d 2.374, intensity 30
- d 1.503, intensity 25


Theoretical X-ray powder pattern of RbPmAsO4 for Cu Kα, 1.54184 Å, from the GGA-PBE geometry in Alexandria.
Peak positions follow from Bragg's law for the DFT cell and can differ from measured ones.

```
RbPmAsO4
1.0
0.000 4.626 4.626
4.626 0.000 4.626
4.626 4.626 0.000
Rb Pm As O
1 1 1 4
Cartesian
0.000 0.000 0.000 Rb
2.313 2.313 2.313 Pm
4.626 4.626 4.626 As
3.581 3.581 3.581 O
5.671 5.671 3.581 O
5.671 3.581 5.671 O
3.581 5.671 5.671 O
```

Principal peaks in the range 10° ≤ 2θ ≤ 80°, most intense first:
- d 3.271, intensity 100
- d 5.342, intensity 64
- d 1.889, intensity 41
- d 2.790, intensity 21
- d 1.236, intensity 21
- d 2.123, intensity 19
- d 1.636, intensity 17
- d 1.463, intensity 17
- d 2.313, intensity 12
- d 1.564, intensity 12


Theoretical X-ray powder pattern of Hf5TcRh4 for Cu Kα, 1.54184 Å, from the GGA-PBE geometry in Alexandria.
Peak positions follow from Bragg's law for the DFT cell and can differ from measured ones.

```
Hf5TcRh4
1.0
3.290 0.000 0.000
0.000 3.290 0.000
0.000 0.000 16.092
Hf Tc Rh
5 1 4
Cartesian
0.000 0.000 0.000 Hf
0.000 0.000 3.224 Hf
0.000 0.000 6.476 Hf
0.000 0.000 9.616 Hf
0.000 0.000 12.868 Hf
1.645 1.645 8.046 Tc
1.645 1.645 1.616 Rh
1.645 1.645 4.791 Rh
1.645 1.645 11.302 Rh
1.645 1.645 14.477 Rh
```

Principal peaks in the range 10° ≤ 2θ ≤ 80°, most intense first:
- d 2.301, intensity 100
- d 2.326, intensity 52
- d 1.338, intensity 36
- d 1.645, intensity 18
- d 1.323, intensity 17
- d 1.609, intensity 8
- d 3.290, intensity 8
- d 3.218, intensity 4
- d 1.885, intensity 4
- d 1.471, intensity 2


Theoretical X-ray powder pattern of K5IrCl2O4 for Cu Kα, 1.54184 Å, from the GGA-PBE geometry in Alexandria.
Peak positions follow from Bragg's law for the DFT cell and can differ from measured ones.

```
K5IrCl2O4
1.0
8.457 0.000 0.000
0.000 4.917 3.430
0.000 -4.917 3.430
K Ir Cl O
5 1 2 4
Cartesian
0.000 0.000 0.000 K
2.502 -1.884 2.818 K
2.502 1.884 2.818 K
5.955 -1.884 2.818 K
5.955 1.884 2.818 K
4.229 0.000 6.344 Ir
0.000 -2.012 4.591 Cl
0.000 2.012 4.591 Cl
2.738 0.000 0.581 O
4.229 -1.308 4.928 O
4.229 1.308 4.928 O
5.719 0.000 0.581 O
```

Principal peaks in the range 10° ≤ 2θ ≤ 80°, most intense first:
- d 3.380, intensity 100
- d 5.626, intensity 81
- d 2.958, intensity 76
- d 8.457, intensity 76
- d 2.342, intensity 71
- d 4.684, intensity 64
- d 4.251, intensity 41
- d 3.178, intensity 36
- d 3.206, intensity 35
- d 2.792, intensity 31